The following is a computed powder diffractogram of CrBiO5. It was derived from a crystal structure in the Materials Project, relaxed with GGA+U, using λ = 1.5418 Å (Cu Kα).

Peak list (12 most intense, 2θ from 5° to 70°, by angle)
- hkl 0 1 1, 5.938 Å, intensity 41
- hkl 1 0 0, 5.731 Å, intensity 47
- hkl 1 1 0, 4.950 Å, intensity 100
- hkl 1 1 1, 4.011 Å, intensity 43
- hkl 0 0 2, 3.727 Å, intensity 55
- hkl 1 2 -1, 3.399 Å, intensity 84
- hkl 1 2 1, 3.275 Å, intensity 67
- hkl 1 0 -2, 3.231 Å, intensity 42
- hkl 1 1 -2, 3.069 Å, intensity 45
- hkl 0 3 1, 2.998 Å, intensity 68
- hkl 1 1 2, 2.893 Å, intensity 47
- hkl 1 4 1, 2.144 Å, intensity 44

Crystal structure
a b c (Å): 5.745 9.825 7.472
angles (deg): 90.00 94.10 90.00
Space group P2_1/c (No. 14)
Inequivalent atoms, fractional coordinates:
Cr  0.225  0.086  0.334 [4 per cell]
Bi  0.334  0.677  0.491 [4 per cell]
O  0.024  0.657  0.248 [4 per cell]
O  0.234  0.092  0.549 [4 per cell]
O  0.244  0.579  0.771 [4 per cell]
O  0.340  0.051  0.956 [4 per cell]
O  0.464  0.181  0.276 [4 per cell]